Record 1
This entry pairs a crystal structure of Rb5SiAs3 with its calculated powder diffraction line list. Radiation: Cu Kα (weighted mean of Kα1 and Kα2). Structure: a crystal structure in the Materials Project, relaxed with GGA-PBE.
No peak broadening, texture or thermal motion is included.

Peak list (8 most intense, 2θ from 10° to 90°, by angle)
2theta  I (rel.)
28.0  100
29.2  89
29.6  21
29.8  46
30.1  20
31.3  70
32.8  17
33.2  29

Atomic structure:
a = 14.430 Å, b = 5.723 Å, c = 15.878 Å
α = 90.00°, β = 90.00°, γ = 90.00°
Space group Pnma (No. 62)
Asymmetric unit:
Rb (0.052, 0.250, 0.147) [4 per cell]
Rb (0.067, 0.250, 0.442) [4 per cell]
Rb (0.113, 0.250, 0.681) [4 per cell]
Rb (0.150, 0.750, 0.039) [4 per cell]
Rb (0.223, 0.750, 0.785) [4 per cell]
Si (0.239, 0.750, 0.425) [4 per cell]
As (0.102, 0.250, 0.903) [4 per cell]
As (0.135, 0.750, 0.312) [4 per cell]
As (0.187, 0.750, 0.563) [4 per cell]

Record 2
This entry pairs a crystal structure of Ga9Ir2 with its calculated powder diffraction line list. Radiation: Cu Kα (weighted mean of Kα1 and Kα2). Structure: a crystal structure in the Materials Project, relaxed with GGA-PBE.
No peak broadening, texture or thermal motion is included.

Peak list (8 most intense, 2θ from 10° to 90°, by angle)
2theta  I (rel.)
36.6  67
37.9  97
42.1  85
44.2  100
44.2  80
44.5  75
44.7  95
45.5  73

Atomic structure:
a = 6.502 Å, b = 6.433 Å, c = 9.008 Å
α = 90.00°, β = 93.65°, γ = 90.00°
Space group P2_1/c (No. 14)
Asymmetric unit:
Ga (0.000, 0.000, 0.000) [2 per cell]
Ga (0.102, 0.219, 0.726) [4 per cell]
Ga (0.213, 0.601, 0.042) [4 per cell]
Ga (0.389, 0.201, 0.000) [4 per cell]
Ga (0.399, 0.516, 0.767) [4 per cell]
Ir (0.261, 0.624, 0.333) [4 per cell]

Record 3
This entry pairs a crystal structure of NaSr8LaTi10O30 with its calculated powder diffraction line list. Radiation: Cu Kα (weighted mean of Kα1 and Kα2). Structure: a crystal structure in the Materials Project, relaxed with GGA-PBE.
No peak broadening, texture or thermal motion is included.

Peak list (8 most intense, 2θ from 10° to 90°, by angle)
2theta  I (rel.)
32.2  100
39.7  21
46.2  42
57.5  38
67.4  24
76.7  5
76.8  11
85.7  8

Atomic structure:
a = 5.552 Å, b = 5.552 Å, c = 19.659 Å
α = 90.00°, β = 90.00°, γ = 90.00°
Space group P4/mmm (No. 123)
Asymmetric unit:
Na (0.000, 0.000, 0.000) [1 per cell]
Sr (0.000, 0.000, 0.199) [2 per cell]
Sr (0.000, 0.000, 0.400) [2 per cell]
Sr (0.500, 0.500, 0.200) [2 per cell]
Sr (0.500, 0.500, 0.400) [2 per cell]
La (0.500, 0.500, 0.000) [1 per cell]
Ti (0.000, 0.500, 0.099) [4 per cell]
Ti (0.000, 0.500, 0.300) [4 per cell]
Ti (0.000, 0.500, 0.500) [2 per cell]
O (0.000, 0.500, 0.000) [2 per cell]
O (0.000, 0.500, 0.200) [4 per cell]
O (0.000, 0.500, 0.400) [4 per cell]
O (0.250, 0.250, 0.300) [8 per cell]
O (0.250, 0.250, 0.500) [4 per cell]
O (0.257, 0.257, 0.099) [8 per cell]

Record 4
This entry pairs a crystal structure of Al2CuO4 with its calculated powder diffraction line list. Radiation: Cu Kα (weighted mean of Kα1 and Kα2). Structure: a crystal structure in the Materials Project, relaxed with GGA-PBE.
No peak broadening, texture or thermal motion is included.

Peak list (8 most intense, 2θ from 10° to 90°, by angle)
2theta  I (rel.)
31.1  63
31.1  46
36.4  100
36.6  81
36.7  64
58.8  34
64.6  40
64.9  62

Atomic structure:
a = 9.958 Å, b = 5.751 Å, c = 19.240 Å
α = 90.00°, β = 100.42°, γ = 90.00°
Space group Cm (No. 8)
Asymmetric unit:
Al (0.000, 0.000, 0.000) [2 per cell]
Al (0.000, 0.500, 0.500) [2 per cell]
Al (0.031, 0.000, 0.593) [2 per cell]
Al (0.122, 0.500, 0.375) [2 per cell]
Al (0.221, 0.000, 0.155) [2 per cell]
Al (0.248, 0.252, 0.500) [4 per cell]
Al (0.250, 0.250, 0.000) [4 per cell]
Al (0.252, 0.000, 0.750) [2 per cell]
Al (0.280, 0.500, 0.840) [2 per cell]
Al (0.375, 0.500, 0.122) [2 per cell]
Al (0.498, 0.246, 0.750) [4 per cell]
Al (0.498, 0.247, 0.249) [4 per cell]
Cu (0.032, 0.500, 0.093) [2 per cell]
Cu (0.126, 0.000, 0.879) [2 per cell]
Cu (0.217, 0.500, 0.655) [2 per cell]
Cu (0.245, 0.500, 0.249) [2 per cell]
Cu (0.280, 0.000, 0.346) [2 per cell]
Cu (0.375, 0.000, 0.627) [2 per cell]
Cu (0.466, 0.500, 0.403) [2 per cell]
Cu (0.469, 0.000, 0.909) [2 per cell]
O (0.050, 0.500, 0.696) [2 per cell]
O (0.056, 0.000, 0.186) [2 per cell]
O (0.058, 0.500, 0.196) [2 per cell]
O (0.063, 0.000, 0.693) [2 per cell]
O (0.071, 0.280, 0.441) [4 per cell]
O (0.073, 0.227, 0.948) [4 per cell]
O (0.169, 0.269, 0.311) [4 per cell]
O (0.182, 0.241, 0.805) [4 per cell]
O (0.184, 0.500, 0.551) [2 per cell]
O (0.186, 0.000, 0.060) [2 per cell]
O (0.188, 0.000, 0.557) [2 per cell]
O (0.207, 0.500, 0.056) [2 per cell]
O (0.293, 0.500, 0.440) [2 per cell]
O (0.301, 0.000, 0.948) [2 per cell]
O (0.312, 0.500, 0.937) [2 per cell]
O (0.316, 0.000, 0.454) [2 per cell]
O (0.321, 0.228, 0.695) [4 per cell]
O (0.325, 0.256, 0.182) [4 per cell]
O (0.426, 0.284, 0.056) [4 per cell]
O (0.434, 0.246, 0.558) [4 per cell]
O (0.435, 0.000, 0.804) [2 per cell]
O (0.437, 0.500, 0.296) [2 per cell]
O (0.441, 0.500, 0.805) [2 per cell]
O (0.451, 0.000, 0.307) [2 per cell]

Record 5
This entry pairs a crystal structure of Tl3Si with its calculated powder diffraction line list. Radiation: Cu Kα (weighted mean of Kα1 and Kα2). Structure: a crystal structure in the Materials Project, relaxed with GGA-PBE.
No peak broadening, texture or thermal motion is included.

Peak list (8 most intense, 2θ from 10° to 90°, by angle)
2theta  I (rel.)
20.3  24
32.9  100
34.5  44
44.6  11
49.6  16
57.6  21
60.8  35
68.9  12

Atomic structure:
a = 5.198 Å, b = 5.198 Å, c = 8.121 Å
α = 90.00°, β = 90.00°, γ = 90.00°
Space group I4/mmm (No. 139)
Asymmetric unit:
Tl (0.000, 0.000, 0.000) [2 per cell]
Tl (0.000, 0.500, 0.250) [4 per cell]
Si (0.000, 0.000, 0.500) [2 per cell]

Record 6
This entry pairs a crystal structure of EuCu2Sn2 with its calculated powder diffraction line list. Radiation: Cu Kα (weighted mean of Kα1 and Kα2). Structure: a crystal structure in the Materials Project, relaxed with GGA-PBE.
No peak broadening, texture or thermal motion is included.

Peak list (8 most intense, 2θ from 10° to 90°, by angle)
2theta  I (rel.)
27.8  63
31.4  66
32.8  100
33.3  61
41.9  46
44.8  53
48.0  31
54.5  33

Atomic structure:
a = 11.148 Å, b = 4.316 Å, c = 4.849 Å
α = 90.00°, β = 108.69°, γ = 90.00°
Space group C2/m (No. 12)
Asymmetric unit:
Eu (0.000, 0.000, 0.000) [2 per cell]
Cu (0.239, 0.500, 0.139) [4 per cell]
Sn (0.143, 0.500, 0.571) [4 per cell]